Structure and calculated PXRD pattern of Na4S2O5 (a structure optimized by DFT (PBE); λ = 1.5418 Å (Cu Kα)).
Intensities are scaled so that the largest is 100.

Peak list (10 most intense, 2θ from 5° to 70°, by angle)
h k l	d_spacing	intensity
1 0 -1	3.630	34.6
1 1 -1	3.589	43.3
0 0 2	3.162	86.9
1 -1 0	2.803	58.7
1 2 0	2.732	83.2
0 1 -2	2.663	45.7
0 1 2	2.646	50.2
2 1 0	2.624	100.0
1 0 -2	2.531	50.8
0 2 -2	1.941	47.6

Crystal structure
```
data_Na4S2O5
_symmetry_space_group_name_H-M 'P 1'
_symmetry_Int_Tables_number 1
_cell_length_a 5.2673
_cell_length_b 5.4831
_cell_length_c 6.3458
_cell_angle_alpha 88.21
_cell_angle_beta 85.26
_cell_angle_gamma 62.98
loop_
_symmetry_equiv_pos_as_xyz
'x,y,z'
loop_
_atom_site_label
_atom_site_fract_x
_atom_site_fract_y
_atom_site_fract_z
Na1 0.0000 0.0000 0.0000
Na2 0.0036 0.0066 0.5029
Na3 0.3355 0.3086 0.7809
Na4 0.6278 0.6899 0.2799
S1 0.3088 0.3457 0.3173
S2 0.7025 0.6559 0.8069
O1 0.1670 0.6486 0.2468
O2 0.2425 0.1888 0.1523
O3 0.4271 0.8445 0.6788
O4 0.6330 0.2463 0.2832
O5 0.7800 0.3425 0.7576
```